# 1
For Zr6SiI14, a crystal structure in the Materials Project, relaxed with PBE gives the computed X-ray diffraction stick pattern in this record (Cu Kα, 1.54184 Å).
Intensities are scaled so that the largest is 100.

Atomic structure:
```
Zr6SiI14
1.0
8.132 -7.435 0.000
8.132 7.435 0.000
0.000 0.000 13.257
Zr Si I
12 2 28
Direct
0.047 0.178 0.885
0.142 0.858 0.897
0.178 0.047 0.115
0.322 0.453 0.615
0.358 0.642 0.397
0.453 0.322 0.385
0.547 0.678 0.615
0.642 0.358 0.603
0.678 0.547 0.385
0.822 0.953 0.885
0.858 0.142 0.103
0.953 0.822 0.115
0.000 0.000 0.000
0.500 0.500 0.500
0.034 0.213 0.248
0.103 0.397 0.750
0.114 0.637 0.010
0.137 0.614 0.510
0.153 0.847 0.264
0.213 0.034 0.752
0.249 0.249 0.500
0.251 0.251 0.000
0.287 0.466 0.252
0.347 0.653 0.764
0.363 0.886 0.010
0.386 0.863 0.510
0.397 0.103 0.250
0.466 0.287 0.748
0.534 0.713 0.252
0.603 0.897 0.750
0.614 0.137 0.490
0.637 0.114 0.990
0.653 0.347 0.236
0.713 0.534 0.748
0.749 0.749 0.000
0.751 0.751 0.500
0.787 0.966 0.248
0.847 0.153 0.736
0.863 0.386 0.490
0.886 0.363 0.990
0.897 0.603 0.250
0.966 0.787 0.752
```

Top 8 peaks for 15 to 90 degrees two-theta, in order of rising 2θ:
| two_theta | I_rel |
| --- | --- |
| 25.9 | 42 |
| 26.9 | 35 |
| 27.5 | 88 |
| 28.4 | 96 |
| 31.5 | 36 |
| 32.3 | 100 |
| 42.7 | 54 |
| 44.6 | 30 |

# 2
For Sc3B2Rh5, a crystal structure in the Materials Project, relaxed with PBE gives the computed X-ray diffraction stick pattern in this record (Cu Kα, 1.54184 Å).
Intensities are scaled so that the largest is 100.

Atomic structure:
```
Sc3B2Rh5
1.0
9.527 0.000 0.000
0.000 9.527 0.000
0.000 0.000 3.115
Sc B Rh
6 4 10
Direct
0.000 0.000 0.000
0.175 0.325 0.000
0.325 0.825 0.000
0.500 0.500 0.000
0.675 0.175 0.000
0.825 0.675 0.000
0.122 0.622 0.000
0.378 0.122 0.000
0.622 0.878 0.000
0.878 0.378 0.000
0.000 0.500 0.500
0.072 0.777 0.500
0.223 0.072 0.500
0.277 0.572 0.500
0.428 0.277 0.500
0.500 0.000 0.500
0.572 0.723 0.500
0.723 0.428 0.500
0.777 0.928 0.500
0.928 0.223 0.500
```

Top 8 peaks for 15 to 90 degrees two-theta, in order of rising 2θ:
| two_theta | I_rel |
| --- | --- |
| 28.7 | 62 |
| 33.9 | 41 |
| 35.7 | 67 |
| 39.0 | 87 |
| 41.7 | 100 |
| 42.4 | 58 |
| 45.0 | 56 |
| 73.3 | 39 |